Structure and theoretical X-ray powder pattern of SrHfSe2O8 (a DFT-relaxed cell (PBE, Alexandria); Cu Kα, 1.54184 Å).
Peak positions follow from Bragg's law for the DFT cell and can differ from measured ones.

Structure:
abc: 7.9189 6.2786 7.5855
angles: 90.00 91.14 90.00
Space group C2/m (No. 12)
One atom of each set of equivalent atoms:
Sr 0.0000 0.0000 0.0000
Hf 0.0000 0.0000 0.5000
Se 0.0937 0.5000 0.2771
O 0.0343 0.2076 0.2898
O 0.1909 0.5000 0.0827
O 0.2395 0.5000 0.4481

Most intense lines, 10° ≤ 2θ ≤ 90°, in order of falling intensity:
- hkl 1 1 -2, 29.56°, intensity 100.0
- hkl 1 1 2, 29.93°, intensity 77.0
- hkl 2 0 0, 22.46°, intensity 71.8
- hkl 0 2 0, 28.43°, intensity 69.8
- hkl 1 1 -1, 21.41°, intensity 54.1
- hkl 0 0 1, 11.67°, intensity 52.4
- hkl 3 1 0, 36.95°, intensity 44.0
- hkl 2 0 1, 25.59°, intensity 41.0
- hkl 1 1 0, 18.03°, intensity 38.7
- hkl 1 3 -2, 51.05°, intensity 28.9